This entry pairs a crystal structure of NbRe5B3 with its simulated powder X-ray diffraction pattern. Radiation: Cu Kα (weighted mean of Kα1 and Kα2). Structure: a crystal structure in Alexandria, relaxed with GGA-PBE.
Neutral-atom scattering factors, no anomalous dispersion.

Crystal structure
a b c (Å): 5.671 6.082 7.814
angles (deg): 112.51 95.12 107.19
Element x y z (fractional)
Nb1 0.036 0.141 0.310
Nb2 0.964 0.859 0.690
Re1 0.058 0.641 0.292
Re2 0.271 0.367 0.047
Re3 0.290 0.851 0.025
Re4 0.382 0.165 0.626
Re5 0.393 0.642 0.626
Re6 0.607 0.358 0.374
Re7 0.618 0.835 0.374
Re8 0.710 0.149 0.975
Re9 0.729 0.633 0.953
Re10 0.942 0.359 0.708
B1 0.000 0.000 0.000
B2 0.000 0.500 0.500
B3 0.336 0.502 0.837
B4 0.346 0.989 0.325
B5 0.654 0.011 0.675
B6 0.664 0.498 0.163

Largest 6 diffraction maxima, in order of falling intensity, 10° ≤ 2θ ≤ 90°:
2θ = 38.62°, I = 100; 2θ = 33.76°, I = 65; 2θ = 37.66°, I = 65; 2θ = 39.74°, I = 55; 2θ = 39.15°, I = 42; 2θ = 39.02°, I = 42

This entry pairs a crystal structure of Nb3B7Rh with its simulated powder X-ray diffraction pattern. Radiation: Cu Kα (weighted mean of Kα1 and Kα2). Structure: a crystal structure in Alexandria, relaxed with GGA-PBE.
Neutral-atom scattering factors, no anomalous dispersion.

Crystal structure
a b c (Å): 7.484 7.484 8.939
angles (deg): 90.00 90.00 154.86
Element x y z (fractional)
Nb1 0.109 0.891 0.555
Nb2 0.109 0.891 0.945
Nb3 0.249 0.751 0.250
Nb4 0.751 0.249 0.750
Nb5 0.891 0.109 0.055
Nb6 0.891 0.109 0.445
B1 0.272 0.728 0.533
B2 0.272 0.728 0.967
B3 0.365 0.635 0.649
B4 0.365 0.635 0.851
B5 0.427 0.573 0.250
B6 0.486 0.514 0.591
B7 0.486 0.514 0.909
B8 0.514 0.486 0.091
B9 0.514 0.486 0.409
B10 0.573 0.427 0.750
B11 0.635 0.365 0.149
B12 0.635 0.365 0.351
B13 0.728 0.272 0.033
B14 0.728 0.272 0.467
Rh1 0.048 0.952 0.250
Rh2 0.952 0.048 0.750

Largest 6 diffraction maxima, in order of falling intensity, 10° ≤ 2θ ≤ 90°:
2θ = 41.53°, I = 100; 2θ = 28.06°, I = 83; 2θ = 31.64°, I = 80; 2θ = 42.78°, I = 61; 2θ = 32.45°, I = 53; 2θ = 67.84°, I = 30

This entry pairs a crystal structure of Nb3BRu with its simulated powder X-ray diffraction pattern. Radiation: Cu Kα (weighted mean of Kα1 and Kα2). Structure: a crystal structure in Alexandria, relaxed with GGA-PBE.
Neutral-atom scattering factors, no anomalous dispersion.

Crystal structure
a b c (Å): 4.327 4.327 4.327
angles (deg): 90.00 90.00 90.00
Element x y z (fractional)
Nb1 0.000 0.000 0.500
Nb2 0.000 0.500 0.000
Nb3 0.500 0.000 0.000
B1 0.000 0.000 0.000
Ru1 0.500 0.500 0.500

Largest 5 diffraction maxima, in order of falling intensity, 10° ≤ 2θ ≤ 90°:
2θ = 35.95°, I = 100; 2θ = 41.75°, I = 53; 2θ = 72.44°, I = 37; 2θ = 60.51°, I = 34; 2θ = 76.21°, I = 11

This entry pairs a crystal structure of Ta2NbB2Ru5 with its simulated powder X-ray diffraction pattern. Radiation: Cu Kα (weighted mean of Kα1 and Kα2). Structure: a crystal structure in Alexandria, relaxed with GGA-PBE.
Neutral-atom scattering factors, no anomalous dispersion.

Crystal structure
a b c (Å): 9.458 9.458 3.023
angles (deg): 90.00 90.00 90.00
Element x y z (fractional)
Ta1 0.176 0.324 0.000
Ta2 0.324 0.824 0.000
Ta3 0.676 0.176 0.000
Ta4 0.824 0.676 0.000
Nb1 0.000 0.000 0.000
Nb2 0.500 0.500 0.000
B1 0.122 0.622 0.000
B2 0.378 0.122 0.000
B3 0.622 0.878 0.000
B4 0.878 0.378 0.000
Ru1 0.000 0.500 0.500
Ru2 0.071 0.781 0.500
Ru3 0.219 0.071 0.500
Ru4 0.281 0.571 0.500
Ru5 0.429 0.281 0.500
Ru6 0.500 0.000 0.500
Ru7 0.571 0.719 0.500
Ru8 0.719 0.429 0.500
Ru9 0.781 0.929 0.500
Ru10 0.929 0.219 0.500

Largest 6 diffraction maxima, in order of falling intensity, 10° ≤ 2θ ≤ 90°:
2θ = 42.52°, I = 100; 2θ = 36.54°, I = 99; 2θ = 39.28°, I = 97; 2θ = 40.22°, I = 36; 2θ = 42.76°, I = 36; 2θ = 45.80°, I = 29